Starting from a GGA-PBE-relaxed structure, the powder diffractogram of CsSc2AgSe4 was calculated for Cu Kα (λ = 1.5418 Å).

Crystal structure
Lattice parameters (Å, degrees): 3.880 16.718 14.848 90.00 90.00 90.00
Space group Cmcm (No. 63)
Asymmetric unit:
Cs  0.000  0.169  0.250 x4
Sc  0.000  0.411  0.089 x8
Ag  0.000  0.127  0.750 x4
Se  0.000  0.000  0.000 x4
Se  0.000  0.198  0.595 x8
Se  0.000  0.483  0.250 x4

Principal peaks in the range 15 to 90 degrees two-theta, low angle first:
2θ = 20.86°, d 4.259, I 31, (0 2 3); 2θ = 24.44°, d 3.642, I 24, (0 4 2); 2θ = 28.00°, d 3.187, I 95, (1 3 0); 2θ = 30.55°, d 2.926, I 100, (1 3 2); 2θ = 33.46°, d 2.678, I 40, (1 3 3); 2θ = 36.30°, d 2.475, I 33, (0 0 6); 2θ = 37.52°, d 2.397, I 32, (1 5 2); 2θ = 46.47°, d 1.954, I 67, (1 3 6); 2θ = 46.83°, d 1.940, I 30, (2 0 0); 2θ = 48.38°, d 1.881, I 42, (1 7 3)

Starting from a GGA-PBE-relaxed structure, the powder diffractogram of Ce6PuAgHg2 was calculated for Cu Kα (λ = 1.5418 Å).

Crystal structure
Lattice parameters (Å, degrees): 12.841 7.218 7.866 90.00 126.82 90.00
Space group C2/m (No. 12)
Asymmetric unit:
Ce  0.056  0.237  0.265 x8
Ce  0.225  0.000  0.122 x4
Pu  0.000  0.000  0.000 x2
Ag  0.000  0.500  0.500 x2
Hg  0.230  0.000  0.724 x4

Principal peaks in the range 15 to 90 degrees two-theta, low angle first:
2θ = 23.94°, d 3.717, I 42, (1 1 1); 2θ = 24.22°, d 3.675, I 35, (3 1 -1); 2θ = 28.57°, d 3.124, I 41, (4 0 -1); 2θ = 30.26°, d 2.954, I 42, (2 2 0); 2θ = 33.71°, d 2.659, I 100, (2 2 -2); 2θ = 34.91°, d 2.570, I 28, (4 0 0); 2θ = 40.34°, d 2.236, I 29, (1 1 -3); 2θ = 43.22°, d 2.093, I 21, (4 2 0); 2θ = 50.58°, d 1.805, I 23, (0 4 0); 2θ = 50.94°, d 1.793, I 21, (6 2 -3)

Starting from a GGA-PBE-relaxed structure, the powder diffractogram of Ac6Rh2Br3Cl was calculated for Cu Kα (λ = 1.5418 Å).

Crystal structure
Lattice parameters (Å, degrees): 7.726 13.351 8.520 90.00 107.49 90.00
Space group C2/m (No. 12)
Asymmetric unit:
Ac  0.204  0.000  0.199 x4
Ac  0.250  0.181  0.798 x8
Rh  0.000  0.167  0.000 x4
Br  0.000  0.000  0.500 x2
Br  0.000  0.340  0.500 x4
Cl  0.000  0.500  0.000 x2

Principal peaks in the range 15 to 90 degrees two-theta, low angle first:
2θ = 24.19°, d 3.679, I 27, (2 0 0); 2θ = 27.36°, d 3.260, I 100, (1 3 1); 2θ = 29.52°, d 3.026, I 11, (1 3 -2); 2θ = 33.07°, d 2.709, I 8, (0 0 3); 2θ = 34.71°, d 2.585, I 15, (2 0 -3); 2θ = 37.61°, d 2.391, I 29, (2 0 2); 2θ = 40.49°, d 2.228, I 36, (3 3 -1); 2θ = 49.60°, d 1.838, I 11, (2 6 -2); 2θ = 54.40°, d 1.687, I 12, (2 0 -5); 2θ = 65.82°, d 1.419, I 8, (4 6 0)

Starting from a GGA-PBE-relaxed structure, the powder diffractogram of LaTb3Ho6 was calculated for Cu Kα (λ = 1.5418 Å).

Crystal structure
Lattice parameters (Å, degrees): 9.474 15.333 8.940 90.00 90.00 90.00
Space group Cmc2_1 (No. 36)
Asymmetric unit:
La  0.000  0.225  0.000 x4
Tb  0.000  0.453  0.907 x4
Tb  0.172  0.142  0.424 x8
Ho  0.000  0.052  0.776 x4
Ho  0.000  0.288  0.636 x4
Ho  0.177  0.351  0.263 x8
Ho  0.245  0.060  0.093 x8

Principal peaks in the range 15 to 90 degrees two-theta, low angle first:
2θ = 28.14°, d 3.171, I 35, (1 3 2); 2θ = 29.85°, d 2.993, I 54, (2 2 2); 2θ = 29.99°, d 2.980, I 24, (2 4 0); 2θ = 30.58°, d 2.923, I 52, (3 1 1); 2θ = 31.65°, d 2.827, I 60, (2 4 1); 2θ = 32.25°, d 2.776, I 100, (0 2 3); 2θ = 35.29°, d 2.544, I 22, (3 1 2); 2θ = 55.01°, d 1.669, I 18, (4 4 3); 2θ = 55.67°, d 1.651, I 15, (5 3 2); 2θ = 62.34°, d 1.489, I 16, (0 0 6)

Starting from a GGA-PBE-relaxed structure, the powder diffractogram of AcNdIrAu was calculated for Cu Kα (λ = 1.5418 Å).

Crystal structure
Lattice parameters (Å, degrees): 4.336 4.337 6.080 90.00 90.10 90.00
Space group Pm (No. 6)
Asymmetric unit:
Ac  0.000  0.000  0.000 x1
Nd  0.500  0.500  0.501 x1
Ir  0.500  0.500  0.000 x1
Au  0.000  0.000  0.500 x1

Principal peaks in the range 15 to 90 degrees two-theta, low angle first:
2θ = 29.12°, d 3.066, I 100, (1 1 0); 2θ = 29.38°, d 3.040, I 49, (0 0 2); 2θ = 41.65°, d 2.168, I 39, (2 0 0); 2θ = 41.84°, d 2.159, I 76, (1 1 2); 2θ = 51.79°, d 1.765, I 41, (2 0 2); 2θ = 60.37°, d 1.533, I 13, (2 2 0); 2θ = 68.41°, d 1.371, I 18, (3 1 0); 2θ = 68.55°, d 1.369, I 18, (2 2 2); 2θ = 68.96°, d 1.362, I 18, (1 1 4); 2θ = 76.13°, d 1.250, I 20, (1 3 2)

Starting from a GGA-PBE-relaxed structure, the powder diffractogram of Mg2Al2Os was calculated for Cu Kα (λ = 1.5418 Å).

Crystal structure
Lattice parameters (Å, degrees): 6.463 6.463 4.367 90.00 90.00 90.00
Space group P4/mbm (No. 127)
Asymmetric unit:
Mg  0.174  0.326  0.000 x4
Al  0.146  0.646  0.500 x4
Os  0.000  0.000  0.500 x2

Principal peaks in the range 15 to 90 degrees two-theta, low angle first:
2θ = 19.42°, d 4.570, I 93, (1 1 0); 2θ = 20.33°, d 4.367, I 64, (0 0 1); 2θ = 27.60°, d 3.232, I 34, (2 0 0); 2θ = 28.26°, d 3.158, I 100, (1 1 1); 2θ = 34.53°, d 2.598, I 78, (2 0 1); 2θ = 39.43°, d 2.285, I 29, (2 2 0); 2θ = 44.32°, d 2.044, I 55, (3 1 0); 2θ = 44.76°, d 2.025, I 28, (2 2 1); 2θ = 49.22°, d 1.851, I 53, (3 1 1); 2θ = 62.21°, d 1.492, I 40, (3 1 2)